1.
Structure and computed powder diffraction line list of Al2Ag5Au5 (a cell relaxed with PBE; a wavelength of 1.5418 Å).

Cell and atoms:
a b c (Å): 4.610 5.393 9.947
angles (deg): 89.12 76.62 65.14
Space group P-1 (No. 2)
One atom of each set of equivalent atoms:
Al 0.073 0.042 0.313 x2
Ag 0.154 0.161 0.032 x2
Ag 0.173 0.396 0.753 x2
Ag 0.500 0.000 0.500 x1
Au 0.214 0.625 0.449 x2
Au 0.456 0.810 0.774 x2
Au 0.500 0.500 0.000 x1

The 6 most intense peaks (10 to 80 degrees two-theta), by angle:
d (Å)	2θ (°)	intensity
2.409	37.3	48
2.398	37.5	59
2.383	37.7	59
2.305	39.1	85
2.274	39.6	74
2.262	39.9	100

***

2.
Structure and computed powder diffraction line list of BaMg15 (a cell relaxed with PBE; a wavelength of 1.5418 Å).

Cell and atoms:
a b c (Å): 6.6647 6.6647 10.5545
angles (deg): 90.00 90.00 120.00
Space group P-6m2 (No. 187)
One atom of each set of equivalent atoms:
Ba 0.0000 0.0000 0.0000 x1
Mg 0.0000 0.0000 0.5000 x1
Mg 0.0162 0.5081 0.0000 x3
Mg 0.1715 0.3429 0.2622 x6
Mg 0.5029 0.0057 0.5000 x3
Mg 0.6667 0.3333 0.2391 x2

The 6 most intense peaks (10 to 80 degrees two-theta), by angle:
d (Å)	2θ (°)	intensity
5.772	15.4	19
5.064	17.5	29
2.886	31.0	27
2.639	34.0	24
2.532	35.5	100
1.409	66.4	19

***

3.
Structure and computed powder diffraction line list of PmTlAs2Pd5 (a cell relaxed with PBE; a wavelength of 1.5418 Å).

Cell and atoms:
a b c (Å): 4.326 4.326 8.815
angles (deg): 90.00 90.00 90.00
Space group P4/mmm (No. 123)
One atom of each set of equivalent atoms:
Pm 0.000 0.000 0.000 x1
Tl 0.000 0.000 0.500 x1
As 0.500 0.500 0.143 x2
Pd 0.000 0.500 0.280 x4
Pd 0.500 0.500 0.500 x1

The 6 most intense peaks (10 to 80 degrees two-theta), by angle:
d (Å)	2θ (°)	intensity
3.087	28.9	19
2.513	35.7	100
2.163	41.8	52
2.119	42.7	26
1.529	60.5	18
1.307	72.3	25

***

4.
Structure and computed powder diffraction line list of InAg9Au4 (a cell relaxed with PBE; a wavelength of 1.5418 Å).

Cell and atoms:
a b c (Å): 8.1892 8.1892 9.3921
angles (deg): 90.00 90.00 120.00
Space group P6_3/mmc (No. 194)
One atom of each set of equivalent atoms:
In 0.3333 0.6667 0.2500 x2
Ag 0.0814 0.5407 0.7500 x6
Ag 0.2106 0.4212 0.0159 x12
Au 0.0000 0.0000 0.0000 x2
Au 0.1132 0.2265 0.7500 x6

The 6 most intense peaks (10 to 80 degrees two-theta), by angle:
d (Å)	2θ (°)	intensity
7.092	12.5	26
3.317	26.9	21
2.348	38.3	50
2.328	38.7	100
2.293	39.3	38
1.358	69.2	16

***

5.
Structure and computed powder diffraction line list of Co5Tc (a cell relaxed with PBE; a wavelength of 1.5418 Å).

Cell and atoms:
a b c (Å): 9.236 2.549 5.996
angles (deg): 90.00 104.43 90.00
Space group Cm (No. 8)
One atom of each set of equivalent atoms:
Co 0.000 0.000 0.000 x2
Co 0.056 0.000 0.599 x2
Co 0.172 0.500 0.332 x2
Co 0.339 0.000 0.656 x2
Co 0.396 0.000 0.279 x2
Tc 0.224 0.500 0.939 x2

The 6 most intense peaks (10 to 80 degrees two-theta), by angle:
d (Å)	2θ (°)	intensity
2.205	40.9	20
2.033	44.6	31
1.938	46.9	100
1.932	47.0	20
1.495	62.1	14
1.270	74.7	12

***

6.
Structure and computed powder diffraction line list of Pm2DyY2 (a cell relaxed with PBE; a wavelength of 1.5418 Å).

Cell and atoms:
a b c (Å): 6.251 3.614 14.720
angles (deg): 90.00 98.18 90.00
Space group C2/m (No. 12)
One atom of each set of equivalent atoms:
Pm 0.133 0.000 0.396 x4
Dy 0.000 0.000 0.000 x2
Y 0.101 0.500 0.804 x4

The 6 most intense peaks (10 to 80 degrees two-theta), by angle:
d (Å)	2θ (°)	intensity
3.007	29.7	41
2.914	30.7	64
2.796	32.0	94
2.714	33.0	100
1.806	50.5	48
1.535	60.3	55

***

7.
Structure and computed powder diffraction line list of LaSbAu (a cell relaxed with PBE; a wavelength of 1.5418 Å).

Cell and atoms:
a b c (Å): 4.6380 4.6380 4.4086
angles (deg): 90.00 90.00 120.00
Space group P3m1 (No. 156)
One atom of each set of equivalent atoms:
La 0.0000 0.0000 0.0000 x1
Sb 0.6667 0.3333 0.4636 x1
Au 0.3333 0.6667 0.6061 x1

The 6 most intense peaks (10 to 80 degrees two-theta), by angle:
d (Å)	2θ (°)	intensity
2.969	30.1	100
2.319	38.8	55
1.932	47.0	18
1.828	49.9	25
1.598	57.7	18
1.435	65.0	22

***

8.
Structure and computed powder diffraction line list of Dy2NpPaN4 (a cell relaxed with PBE; a wavelength of 1.5418 Å).

Cell and atoms:
a b c (Å): 6.010 3.473 6.046
angles (deg): 90.00 109.52 90.00
Space group P2/m (No. 10)
One atom of each set of equivalent atoms:
Dy 0.000 0.000 0.000 x1
Dy 0.500 0.500 0.000 x1
Np 0.000 0.500 0.500 x1
Pa 0.500 0.000 0.500 x1
N 0.249 0.000 0.740 x2
N 0.257 0.500 0.258 x2

The 6 most intense peaks (10 to 80 degrees two-theta), by angle:
d (Å)	2θ (°)	intensity
2.849	31.4	34
2.836	31.5	100
2.459	36.5	90
1.743	52.5	21
1.738	52.7	21
1.480	62.8	25